Theoretical powder XRD pattern of CaIr4 for copper Kα, from a GGA-PBE-relaxed structure.
Intensities are scaled so that the largest is 1000.

Most intense lines, 10° ≤ 2θ ≤ 80°, by angle:
2θ (°)	I (rel.)
19.7	182
26.5	51
38.9	1000
44.9	308
45.8	153
65.3	112
66.1	196
78.7	224

Structural model:
a = 4.9317 Å, b = 4.9317 Å, c = 4.9317 Å
α = 99.28°, β = 99.28°, γ = 132.66°
Element x y z (fractional)
Ca  0.0000  0.0000  0.0000
Ir  0.1832  0.4021  0.5852
Ir  0.4021  0.8168  0.2189
Ir  0.5979  0.1832  0.7811
Ir  0.8168  0.5979  0.4148